Theoretical powder X-ray diffraction pattern
Compound: Li3V8ZnO16
Radiation: CuKα
Structure: a cell relaxed with GGA+U
Kinematic intensities with the Lorentz-polarization factor, no thermal factor.

Cell and atoms:
```
data_Li3V8ZnO16
_chemical_formula_sum 'Li3 V8 Zn1 O16'
_space_group_name_H-M_alt 'P -4 m 2'
_space_group_IT_number 115
_space_group_name_Hall 'P -4 -2'
_cell_length_a 6.0774
_cell_length_b 6.0774
_cell_length_c 8.2831
_cell_angle_alpha 90.00
_cell_angle_beta 90.00
_cell_angle_gamma 90.00
loop_
_atom_site_label
_atom_site_fract_x
_atom_site_fract_y
_atom_site_fract_z
Li1 0.0000 0.0000 0.0000
Li2 0.0000 0.5000 0.2450
V1 0.0000 0.2471 0.6256
V2 0.2515 0.5000 0.8770
Zn1 0.5000 0.5000 0.5000
O1 0.0000 0.2216 0.3874
O2 0.0000 0.2691 0.8535
O3 0.2219 0.5000 0.6269
O4 0.2737 0.5000 0.1161
```

Largest 8 diffraction maxima, sorted by position, 2θ from 15° to 90°:
| 2θ (°) | I/Imax | hkl |
| --- | --- | --- |
| 18.1 | 100 | 1 0 1 |
| 34.7 | 74 | 2 1 1 |
| 35.7 | 35 | 1 0 3 |
| 42.1 | 50 | 2 2 0 |
| 43.7 | 22 | 0 0 4 |
| 55.6 | 28 | 3 2 1 |
| 61.0 | 23 | 4 0 0 |
| 62.3 | 43 | 2 2 4 |